This entry pairs a crystal structure of CdF3 with its calculated powder diffraction line list. Radiation: Cu Kα (weighted mean of Kα1 and Kα2). Structure: the PBE geometry in Alexandria.

Atomic structure:
```
8
Lattice="4.0870 0.0000 0.0000 0.0000 3.6191 0.0000 -0.9199 0.0000 7.2145" Properties=species:S:1:pos:R:3 pbc="T T T"
Cd 0.5627 0.9048 2.2751
Cd 2.6043 2.7143 4.9394
F -0.4297 0.9048 6.0711
F 0.5595 2.7143 3.8552
F 1.6004 2.7143 1.1575
F 1.5667 0.9048 6.0571
F 2.6076 0.9048 3.3593
F 3.5967 2.7143 1.1434
```

Principal peaks in the range 2θ = 10–80°, in order of rising 2θ:
| 2θ/deg | Rel. int. | hkl |
| --- | --- | --- |
| 12.27 | 72 | 0 0 1 |
| 23.78 | 61 | 1 0 -1 |
| 24.68 | 45 | 0 0 2 |
| 26.55 | 73 | 1 0 1 |
| 27.57 | 65 | 0 1 1 |
| 31.03 | 38 | 1 0 -2 |
| 33.18 | 60 | 1 1 0 |
| 35.12 | 100 | 0 1 2 |
| 43.53 | 42 | 1 1 2 |
| 48.53 | 39 | 1 1 -3 |
| 50.43 | 30 | 0 2 0 |
| 54.79 | 23 | 2 1 1 |